Entry 1:
Diffraction record for Pr8GeS3Br4. The powder X-ray diffraction pattern is theoretical, not measured: it uses a PBE-relaxed structure and a wavelength of 1.5418 Å.
Intensities are scaled so that the largest is 1000.

The 12 most intense peaks (2θ from 10° to 90°), by angle:
| d_spacing | 2θ/deg | Rel. int. | hkl |
| --- | --- | --- | --- |
| 3.433 | 25.95 | 206 | 2 0 2 |
| 3.028 | 29.50 | 1000 | 0 2 4 |
| 2.804 | 31.92 | 168 | 2 0 5 |
| 2.474 | 36.31 | 89 | 0 0 9 |
| 2.204 | 40.95 | 279 | 2 0 8 |
| 2.084 | 43.43 | 381 | 2 2 0 |
| 1.716 | 53.38 | 183 | 4 0 4 |
| 1.594 | 57.86 | 136 | 2 2 9 |
| 1.547 | 59.76 | 88 | 0 2 13 |
| 1.514 | 61.22 | 83 | 0 4 8 |
| 1.325 | 71.17 | 151 | 2 4 4 |
| 1.225 | 78.01 | 81 | 4 2 8 |

Structure:
```
data_Pr8GeS3Br4
_chemical_formula_sum 'Pr24 Ge3 S9 Br12'
_symmetry_space_group_name_H-M 'R -3 m'
_symmetry_Int_Tables_number 166
_symmetry_space_group_name_Hall '-R 3 2"'
_cell_length_a 8.3341
_cell_length_b 8.3341
_cell_length_c 22.2676
_cell_angle_alpha 90.00
_cell_angle_beta 90.00
_cell_angle_gamma 120.00
loop_
_atom_site_label
_atom_site_type_symbol
_atom_site_fract_x
_atom_site_fract_y
_atom_site_fract_z
Pr1 Pr 0.0000 0.0000 0.2322
Pr2 Pr 0.0109 0.5054 0.7656
Ge1 Ge 0.0000 0.0000 0.5000
S1 S 0.0000 0.5000 0.5000
Br1 Br 0.0000 0.0000 0.0000
Br2 Br 0.0000 0.5000 0.0000
```

---

Entry 2:
Diffraction record for Pr8Ge3Te4Br. The powder X-ray diffraction pattern is theoretical, not measured: it uses a PBE-relaxed structure and a wavelength of 1.5418 Å.
Intensities are scaled so that the largest is 1000.

The 12 most intense peaks (2θ from 10° to 90°), by angle:
| d_spacing | 2θ/deg | Rel. int. | hkl |
| --- | --- | --- | --- |
| 3.146 | 28.37 | 1000 | 0 2 4 |
| 2.893 | 30.91 | 45 | 2 0 5 |
| 2.239 | 40.28 | 364 | 2 0 8 |
| 2.210 | 40.84 | 376 | 2 2 0 |
| 1.840 | 49.53 | 60 | 0 0 12 |
| 1.808 | 50.47 | 197 | 4 0 4 |
| 1.573 | 58.70 | 117 | 0 4 8 |
| 1.414 | 66.07 | 147 | 2 2 12 |
| 1.399 | 66.85 | 164 | 2 4 4 |
| 1.298 | 72.85 | 48 | 0 2 16 |
| 1.281 | 73.97 | 115 | 4 2 8 |
| 1.276 | 74.35 | 61 | 6 0 0 |

Structure:
```
data_Pr8Ge3Te4Br
_chemical_formula_sum 'Pr24 Ge9 Te12 Br3'
_symmetry_space_group_name_H-M 'R -3 m'
_symmetry_Int_Tables_number 166
_symmetry_space_group_name_Hall '-R 3 2"'
_cell_length_a 8.8393
_cell_length_b 8.8393
_cell_length_c 22.0842
_cell_angle_alpha 90.00
_cell_angle_beta 90.00
_cell_angle_gamma 120.00
loop_
_atom_site_label
_atom_site_type_symbol
_atom_site_fract_x
_atom_site_fract_y
_atom_site_fract_z
Pr1 Pr 0.0000 0.0000 0.2417
Pr2 Pr 0.0146 0.5073 0.7574
Ge1 Ge 0.0000 0.5000 0.5000
Te1 Te 0.0000 0.0000 0.0000
Te2 Te 0.0000 0.5000 0.0000
Br1 Br 0.0000 0.0000 0.5000
```

---

Entry 3:
Diffraction record for Pu2GeBr. The powder X-ray diffraction pattern is theoretical, not measured: it uses a PBE-relaxed structure and a wavelength of 1.5418 Å.
Intensities are scaled so that the largest is 1000.

The 12 most intense peaks (2θ from 10° to 90°), by angle:
| d_spacing | 2θ/deg | Rel. int. | hkl |
| --- | --- | --- | --- |
| 3.496 | 25.48 | 359 | 0 1 2 |
| 3.346 | 26.64 | 98 | 0 0 6 |
| 2.993 | 29.85 | 1000 | 1 0 4 |
| 2.153 | 41.96 | 411 | 1 1 0 |
| 2.082 | 43.46 | 342 | 0 1 8 |
| 1.811 | 50.40 | 113 | 1 1 6 |
| 1.748 | 52.35 | 213 | 0 2 4 |
| 1.497 | 62.01 | 121 | 2 0 8 |
| 1.357 | 69.24 | 187 | 2 1 4 |
| 1.321 | 71.40 | 144 | 1 1 12 |
| 1.243 | 76.66 | 72 | 3 0 0 |
| 1.229 | 77.71 | 128 | 1 2 8 |

Structure:
```
data_Pu2GeBr
_chemical_formula_sum 'Pu6 Ge3 Br3'
_symmetry_space_group_name_H-M 'R -3 m'
_symmetry_Int_Tables_number 166
_symmetry_space_group_name_Hall '-R 3 2"'
_cell_length_a 4.3059
_cell_length_b 4.3059
_cell_length_c 20.0776
_cell_angle_alpha 90.00
_cell_angle_beta 90.00
_cell_angle_gamma 120.00
loop_
_atom_site_label
_atom_site_type_symbol
_atom_site_fract_x
_atom_site_fract_y
_atom_site_fract_z
Pu1 Pu 0.0000 0.0000 0.2433
Ge1 Ge 0.0000 0.0000 0.5000
Br1 Br 0.0000 0.0000 0.0000
```

---

Entry 4:
Diffraction record for Rb2GeBr4. The powder X-ray diffraction pattern is theoretical, not measured: it uses a PBE-relaxed structure and a wavelength of 1.5418 Å.
Intensities are scaled so that the largest is 1000.

The 12 most intense peaks (2θ from 10° to 90°), by angle:
| d_spacing | 2θ/deg | Rel. int. | hkl |
| --- | --- | --- | --- |
| 4.781 | 18.56 | 537 | 1 0 -2 |
| 3.755 | 23.70 | 467 | 2 0 0 |
| 3.664 | 24.29 | 518 | 0 2 0 |
| 3.337 | 26.71 | 997 | 1 0 -3 |
| 3.258 | 27.37 | 859 | 1 2 -1 |
| 3.160 | 28.24 | 862 | 2 0 1 |
| 2.983 | 29.95 | 1000 | 1 2 1 |
| 2.903 | 30.80 | 717 | 0 2 2 |
| 2.632 | 34.07 | 851 | 1 0 3 |
| 2.555 | 35.13 | 668 | 2 2 -2 |
| 2.293 | 39.30 | 504 | 2 2 -3 |
| 1.995 | 45.46 | 524 | 0 2 4 |

Structure:
```
data_Rb2GeBr4
_chemical_formula_sum 'Rb4 Ge2 Br8'
_symmetry_space_group_name_H-M 'P 1 21/m 1'
_symmetry_Int_Tables_number 11
_symmetry_space_group_name_Hall '-P 2yb'
_cell_length_a 7.9400
_cell_length_b 7.3272
_cell_length_c 10.0618
_cell_angle_alpha 90.00
_cell_angle_beta 108.96
_cell_angle_gamma 90.00
loop_
_atom_site_label
_atom_site_type_symbol
_atom_site_fract_x
_atom_site_fract_y
_atom_site_fract_z
Rb1 Rb 0.1022 0.2500 0.4195
Rb2 Rb 0.2635 0.7500 0.0663
Ge1 Ge 0.4660 0.7500 0.6580
Br1 Br 0.1980 0.7500 0.3970
Br2 Br 0.2032 0.2500 0.1091
Br3 Br 0.3216 0.5009 0.7536
```

---

Entry 5:
Diffraction record for Rb3Ge2Br7. The powder X-ray diffraction pattern is theoretical, not measured: it uses a PBE-relaxed structure and a wavelength of 1.5418 Å.
Intensities are scaled so that the largest is 1000.

The 12 most intense peaks (2θ from 10° to 90°), by angle:
| d_spacing | 2θ/deg | Rel. int. | hkl |
| --- | --- | --- | --- |
| 4.161 | 21.36 | 210 | 0 1 3 |
| 3.290 | 27.11 | 764 | 3 1 0 |
| 3.239 | 27.54 | 619 | 1 1 -4 |
| 3.113 | 28.68 | 436 | 2 3 1 |
| 3.091 | 28.89 | 406 | 0 3 3 |
| 3.067 | 29.12 | 1000 | 1 4 -1 |
| 3.014 | 29.64 | 295 | 3 2 0 |
| 2.975 | 30.03 | 237 | 1 2 -4 |
| 2.728 | 32.83 | 526 | 3 2 -3 |
| 2.541 | 35.32 | 572 | 2 0 4 |
| 2.129 | 42.47 | 319 | 4 2 -4 |
| 1.960 | 46.33 | 381 | 2 6 -2 |

Structure:
```
data_Rb3Ge2Br7
_chemical_formula_sum 'Rb12 Ge8 Br28'
_symmetry_space_group_name_H-M 'P 1 21/c 1'
_symmetry_Int_Tables_number 14
_symmetry_space_group_name_Hall '-P 2ybc'
_cell_length_a 10.4178
_cell_length_b 13.0463
_cell_length_c 13.4708
_cell_angle_alpha 90.00
_cell_angle_beta 101.82
_cell_angle_gamma 90.00
loop_
_atom_site_label
_atom_site_type_symbol
_atom_site_fract_x
_atom_site_fract_y
_atom_site_fract_z
Rb1 Rb 0.0532 0.1758 0.4652
Rb2 Rb 0.2675 0.6814 0.3582
Rb3 Rb 0.3912 0.1901 0.8046
Ge1 Ge 0.1919 0.0115 0.1438
Ge2 Ge 0.3547 0.5532 0.0664
Br1 Br 0.0950 0.1843 0.1985
Br2 Br 0.1686 0.0610 0.9569
Br3 Br 0.1817 0.0050 0.6694
Br4 Br 0.1914 0.5626 0.8973
Br5 Br 0.2766 0.7256 0.6123
Br6 Br 0.4174 0.1468 0.5391
Br7 Br 0.4351 0.0610 0.1960
```

---

Entry 6:
Diffraction record for RbGeBr3. The powder X-ray diffraction pattern is theoretical, not measured: it uses a PBE-relaxed structure and a wavelength of 1.5418 Å.
Intensities are scaled so that the largest is 1000.

The 12 most intense peaks (2θ from 10° to 90°), by angle:
| d_spacing | 2θ/deg | Rel. int. | hkl |
| --- | --- | --- | --- |
| 5.699 | 15.55 | 249 | 0 0 2 |
| 3.519 | 25.31 | 257 | 1 2 0 |
| 3.409 | 26.14 | 215 | 0 1 3 |
| 3.380 | 26.37 | 426 | 2 0 2 |
| 3.367 | 26.47 | 314 | 1 2 1 |
| 3.207 | 27.82 | 312 | 0 2 2 |
| 3.099 | 28.80 | 202 | 2 1 2 |
| 2.997 | 29.82 | 215 | 1 2 2 |
| 2.849 | 31.40 | 1000 | 0 0 4 |
| 2.635 | 34.03 | 210 | 3 1 0 |
| 2.269 | 39.72 | 302 | 1 3 2 |
| 2.014 | 45.00 | 249 | 2 2 4 |

Structure:
```
data_RbGeBr3
_chemical_formula_sum 'Rb4 Ge4 Br12'
_symmetry_space_group_name_H-M 'P n a 21'
_symmetry_Int_Tables_number 33
_symmetry_space_group_name_Hall 'P 2c -2n'
_cell_length_a 8.4032
_cell_length_b 7.7651
_cell_length_c 11.3836
_cell_angle_alpha 90.00
_cell_angle_beta 90.00
_cell_angle_gamma 90.00
loop_
_atom_site_label
_atom_site_type_symbol
_atom_site_fract_x
_atom_site_fract_y
_atom_site_fract_z
Rb1 Rb 0.0809 0.0285 0.0000
Ge1 Ge 0.0302 0.5168 0.2308
Br1 Br 0.0031 0.4189 0.5107
Br2 Br 0.1824 0.7924 0.2842
Br3 Br 0.2199 0.8259 0.7068
```

---

Entry 7:
Diffraction record for Rb3Ge2Br9. The powder X-ray diffraction pattern is theoretical, not measured: it uses a PBE-relaxed structure and a wavelength of 1.5418 Å.
Intensities are scaled so that the largest is 1000.

The 12 most intense peaks (2θ from 10° to 90°), by angle:
| d_spacing | 2θ/deg | Rel. int. | hkl |
| --- | --- | --- | --- |
| 5.425 | 16.34 | 137 | 0 1 1 |
| 3.836 | 23.19 | 98 | 1 1 0 |
| 3.132 | 28.50 | 1000 | 0 0 3 |
| 2.712 | 33.03 | 915 | 0 2 2 |
| 1.918 | 47.40 | 646 | 2 2 0 |
| 1.636 | 56.23 | 313 | 0 2 5 |
| 1.634 | 56.29 | 102 | 0 4 1 |
| 1.565 | 59.02 | 162 | 4 0 2 |
| 1.356 | 69.28 | 101 | 0 4 4 |
| 1.214 | 78.86 | 133 | 2 2 6 |
| 1.212 | 78.99 | 137 | 2 4 2 |
| 1.107 | 88.30 | 160 | 6 0 0 |

Structure:
```
data_Rb3Ge2Br9
_chemical_formula_sum 'Rb3 Ge2 Br9'
_symmetry_space_group_name_H-M 'P -3 m 1'
_symmetry_Int_Tables_number 164
_symmetry_space_group_name_Hall '-P 3 2"'
_cell_length_a 7.6651
_cell_length_b 7.6651
_cell_length_c 9.4119
_cell_angle_alpha 90.00
_cell_angle_beta 90.00
_cell_angle_gamma 120.00
loop_
_atom_site_label
_atom_site_type_symbol
_atom_site_fract_x
_atom_site_fract_y
_atom_site_fract_z
Rb1 Rb 0.0000 0.0000 0.0000
Rb2 Rb 0.3333 0.6667 0.3337
Ge1 Ge 0.3333 0.6667 0.8194
Br1 Br 0.0000 0.5000 0.0000
Br2 Br 0.1741 0.3482 0.6746
```

---

Entry 8:
Diffraction record for Rb2Ge2Br7. The powder X-ray diffraction pattern is theoretical, not measured: it uses a PBE-relaxed structure and a wavelength of 1.5418 Å.
Intensities are scaled so that the largest is 1000.

The 12 most intense peaks (2θ from 10° to 90°), by angle:
| d_spacing | 2θ/deg | Rel. int. | hkl |
| --- | --- | --- | --- |
| 4.887 | 18.15 | 288 | 2 0 -1 |
| 4.845 | 18.31 | 423 | 1 1 1 |
| 4.604 | 19.28 | 1000 | 0 2 1 |
| 3.570 | 24.94 | 269 | 1 3 -1 |
| 3.551 | 25.08 | 456 | 3 1 -1 |
| 3.363 | 26.50 | 205 | 2 2 1 |
| 3.336 | 26.73 | 363 | 1 3 1 |
| 2.897 | 30.86 | 360 | 4 0 0 |
| 2.834 | 31.57 | 398 | 2 2 -2 |
| 2.642 | 33.93 | 250 | 4 2 -1 |
| 2.453 | 36.63 | 269 | 1 3 2 |
| 2.301 | 39.15 | 203 | 0 4 2 |

Structure:
```
data_Rb2Ge2Br7
_chemical_formula_sum 'Rb4 Ge4 Br14'
_symmetry_space_group_name_H-M 'C 1 m 1'
_symmetry_Int_Tables_number 8
_symmetry_space_group_name_Hall 'C -2y'
_cell_length_a 11.8686
_cell_length_b 13.0087
_cell_length_c 6.6765
_cell_angle_alpha 90.00
_cell_angle_beta 102.48
_cell_angle_gamma 90.00
loop_
_atom_site_label
_atom_site_type_symbol
_atom_site_fract_x
_atom_site_fract_y
_atom_site_fract_z
Rb1 Rb 0.0000 0.2135 0.0000
Ge1 Ge 0.2150 0.5000 0.4179
Ge2 Ge 0.2715 0.0000 0.5677
Br1 Br 0.0070 0.5000 0.4657
Br2 Br 0.0754 0.0000 0.3284
Br3 Br 0.2477 0.1476 0.7992
Br4 Br 0.2543 0.3391 0.2324
Br5 Br 0.3539 0.5000 0.7566
```

---

Entry 9:
Diffraction record for RbSnGeBr5. The powder X-ray diffraction pattern is theoretical, not measured: it uses a PBE-relaxed structure and a wavelength of 1.5418 Å.
Intensities are scaled so that the largest is 1000.

The 12 most intense peaks (2θ from 10° to 90°), by angle:
| d_spacing | 2θ/deg | Rel. int. | hkl |
| --- | --- | --- | --- |
| 7.221 | 12.26 | 601 | 1 1 -1 |
| 5.256 | 16.87 | 1000 | 1 1 1 |
| 4.563 | 19.45 | 586 | 2 0 -2 |
| 3.614 | 24.63 | 688 | 1 3 -1 |
| 3.300 | 27.02 | 482 | 3 1 -2 |
| 3.204 | 27.84 | 823 | 1 3 -2 |
| 2.948 | 30.32 | 654 | 0 4 0 |
| 2.934 | 30.47 | 846 | 2 0 2 |
| 2.758 | 32.46 | 464 | 1 1 3 |
| 2.499 | 35.93 | 380 | 2 2 -4 |
| 2.414 | 37.25 | 810 | 4 0 0 |
| 1.867 | 48.77 | 353 | 5 3 -2 |

Structure:
```
data_RbSnGeBr5
_chemical_formula_sum 'Rb4 Sn4 Ge4 Br20'
_symmetry_space_group_name_H-M 'C 1 2/c 1'
_symmetry_Int_Tables_number 15
_symmetry_space_group_name_Hall '-C 2yc'
_cell_length_a 10.6109
_cell_length_b 11.8079
_cell_length_c 11.1126
_cell_angle_alpha 90.00
_cell_angle_beta 114.53
_cell_angle_gamma 90.00
loop_
_atom_site_label
_atom_site_type_symbol
_atom_site_fract_x
_atom_site_fract_y
_atom_site_fract_z
Rb1 Rb 0.0000 0.0764 0.2500
Sn1 Sn 0.2500 0.2500 0.0000
Ge1 Ge 0.0000 0.4838 0.2500
Br1 Br 0.0000 0.2226 0.7500
Br2 Br 0.0357 0.3353 0.0963
Br3 Br 0.2155 0.0153 0.0817
```

---

Entry 10:
Diffraction record for Rb4Tl3GeBr8. The powder X-ray diffraction pattern is theoretical, not measured: it uses a PBE-relaxed structure and a wavelength of 1.5418 Å.
Intensities are scaled so that the largest is 1000.

The 12 most intense peaks (2θ from 10° to 90°), by angle:
| d_spacing | 2θ/deg | Rel. int. | hkl |
| --- | --- | --- | --- |
| 7.758 | 11.41 | 184 | 2 0 -1 |
| 3.568 | 24.96 | 592 | 4 0 0 |
| 3.361 | 26.52 | 1000 | 2 2 -2 |
| 2.486 | 36.13 | 430 | 2 2 2 |
| 2.409 | 37.33 | 385 | 6 2 -2 |
| 2.377 | 37.86 | 368 | 0 4 0 |
| 2.022 | 44.82 | 130 | 0 0 4 |
| 1.977 | 45.91 | 209 | 4 4 0 |
| 1.680 | 54.61 | 122 | 4 4 -4 |
| 1.597 | 57.73 | 103 | 6 2 2 |
| 1.555 | 59.42 | 105 | 10 2 -2 |
| 1.503 | 61.73 | 229 | 2 6 -2 |

Structure:
```
data_Rb4Tl3GeBr8
_chemical_formula_sum 'Rb8 Tl6 Ge2 Br16'
_symmetry_space_group_name_H-M 'C 1 2/m 1'
_symmetry_Int_Tables_number 12
_symmetry_space_group_name_Hall '-C 2y'
_cell_length_a 16.8111
_cell_length_b 9.4976
_cell_length_c 9.5244
_cell_angle_alpha 90.00
_cell_angle_beta 121.90
_cell_angle_gamma 90.00
loop_
_atom_site_label
_atom_site_type_symbol
_atom_site_fract_x
_atom_site_fract_y
_atom_site_fract_z
Rb1 Rb 0.0000 0.0000 0.0000
Rb2 Rb 0.0000 0.5000 0.0000
Rb3 Rb 0.2500 0.2500 0.5000
Tl1 Tl 0.0000 0.0000 0.5000
Tl2 Tl 0.2500 0.2500 0.0000
Ge1 Ge 0.0000 0.5000 0.5000
Br1 Br 0.0046 0.2766 0.7236
Br2 Br 0.2272 0.0000 0.2213
Br3 Br 0.2470 0.0000 0.7516
```

---

Entry 11:
Diffraction record for Ge4S7Br. The powder X-ray diffraction pattern is theoretical, not measured: it uses a PBE-relaxed structure and a wavelength of 1.5418 Å.
Intensities are scaled so that the largest is 1000.

The 12 most intense peaks (2θ from 10° to 90°), by angle:
| d_spacing | 2θ/deg | Rel. int. | hkl |
| --- | --- | --- | --- |
| 6.602 | 13.41 | 352 | 0 1 0 |
| 5.589 | 15.86 | 878 | 1 0 1 |
| 5.239 | 16.92 | 941 | 2 1 0 |
| 4.403 | 20.17 | 402 | 0 1 1 |
| 4.266 | 20.82 | 716 | 1 1 1 |
| 3.920 | 22.68 | 1000 | 2 1 1 |
| 3.605 | 24.69 | 820 | 4 1 0 |
| 3.078 | 29.01 | 670 | 4 1 1 |
| 2.842 | 31.47 | 343 | 1 2 1 |
| 2.201 | 41.00 | 482 | 0 2 2 |
| 1.746 | 52.39 | 360 | 6 3 0 |
| 1.729 | 52.96 | 417 | 4 1 3 |

Structure:
```
data_Ge4S7Br
_chemical_formula_sum 'Ge8 S14 Br2'
_symmetry_space_group_name_H-M 'P m n 21'
_symmetry_Int_Tables_number 31
_symmetry_space_group_name_Hall 'P 2ac -2'
_cell_length_a 17.2150
_cell_length_b 6.6024
_cell_length_c 5.9096
_cell_angle_alpha 90.00
_cell_angle_beta 90.00
_cell_angle_gamma 90.00
loop_
_atom_site_label
_atom_site_type_symbol
_atom_site_fract_x
_atom_site_fract_y
_atom_site_fract_z
Ge1 Ge 0.0930 0.0024 0.0000
Ge2 Ge 0.2391 0.6653 0.3691
S1 S 0.0000 0.8516 0.7868
S2 S 0.1198 0.7882 0.2985
S3 S 0.1657 0.1452 0.7196
S4 S 0.2486 0.6602 0.7547
Br1 Br 0.0000 0.2677 0.1910
```